1.
# Tb5In2Ir2Rh
Simulated powder diffractogram, λ = 1.5418 Å (Cu Kα). Input: the PBE geometry in Alexandria.

Atomic structure:
```
data_Tb5In2Ir2Rh
_chemical_formula_sum 'Tb10 In4 Ir4 Rh2'
_cell_length_a 11.661
_cell_length_b 11.661
_cell_length_c 3.590
_cell_angle_alpha 90.00
_cell_angle_beta 90.00
_cell_angle_gamma 90.00
_symmetry_space_group_name_H-M 'P 4/m b m'
_symmetry_Int_Tables_number 127
_symmetry_space_group_name_Hall '-P 4 2ab'
loop_
_atom_site_label
_atom_site_type_symbol
_atom_site_fract_x
_atom_site_fract_y
_atom_site_fract_z
Tb1 Tb 0.000 0.500 0.000
Tb2 Tb 0.067 0.195 0.000
In1 In 0.178 0.678 0.500
Ir1 Ir 0.137 0.363 0.500
Rh1 Rh 0.000 0.000 0.500
```

Top 10 peaks for 10° ≤ 2θ ≤ 90°, sorted by position:
- d = 5.215 Å, 17.00°, I 31, (2 1 0)
- d = 2.828 Å, 31.64°, I 31, (4 1 0)
- d = 2.749 Å, 32.58°, I 24, (3 3 0)
- d = 2.707 Å, 33.09°, I 13, (2 2 1)
- d = 2.608 Å, 34.39°, I 15, (4 2 0)
- d = 2.572 Å, 34.88°, I 100, (3 1 1)
- d = 2.403 Å, 37.43°, I 40, (3 2 1)
- d = 2.263 Å, 39.83°, I 14, (4 0 1)
- d = 1.795 Å, 50.88°, I 16, (0 0 2)
- d = 1.649 Å, 55.74°, I 11, (7 1 0)

2.
# Y2ZnGe3
Simulated powder diffractogram, λ = 1.5418 Å (Cu Kα). Input: the PBE geometry in Alexandria.

Atomic structure:
```
data_Y2ZnGe3
_chemical_formula_sum 'Y8 Zn4 Ge12'
_cell_length_a 6.729
_cell_length_b 4.216
_cell_length_c 17.919
_cell_angle_alpha 90.00
_cell_angle_beta 90.00
_cell_angle_gamma 90.00
_symmetry_space_group_name_H-M 'P n m a'
_symmetry_Int_Tables_number 62
loop_
_symmetry_equiv_pos_as_xyz
'x,y,z'
'-x,-y,-z'
'-x+1/2,-y,z+1/2'
'x+1/2,y,-z+1/2'
'x+1/2,-y+1/2,-z+1/2'
'-x+1/2,y+1/2,z+1/2'
'-x,y+1/2,-z'
'x,-y+1/2,z'
loop_
_atom_site_label
_atom_site_type_symbol
_atom_site_fract_x
_atom_site_fract_y
_atom_site_fract_z
Y1 Y 0.187 0.250 0.083
Y2 Y 0.192 0.250 0.298
Zn1 Zn 0.051 0.750 0.439
Ge1 Ge 0.004 0.250 0.823
Ge2 Ge 0.124 0.250 0.688
Ge3 Ge 0.245 0.750 0.965
```

Top 10 peaks for 10° ≤ 2θ ≤ 90°, sorted by position:
- d = 2.793 Å, 32.04°, I 49, (1 1 4)
- d = 2.730 Å, 32.81°, I 36, (1 0 6)
- d = 2.630 Å, 34.10°, I 23, (2 1 0)
- d = 2.602 Å, 34.47°, I 74, (2 1 1)
- d = 2.530 Å, 35.48°, I 100, (1 1 5)
- d = 2.240 Å, 40.26°, I 35, (0 0 8)
- d = 2.108 Å, 42.91°, I 56, (0 2 0)
- d = 1.901 Å, 47.85°, I 26, (3 0 5)
- d = 1.834 Å, 49.71°, I 21, (2 1 7)
- d = 1.535 Å, 60.30°, I 22, (0 2 8)